Entry 1:
# MnAgPIrBr
Simulated powder XRD pattern, Cu Kα (weighted mean of Kα1 and Kα2). Input: a cell relaxed with PBE.
Peak positions follow from Bragg's law for the DFT cell and can differ from measured ones.

Structural model:
```
MnAgPIrBr
1.0
3.997 0.000 0.000
-1.998 3.461 0.000
0.000 0.000 7.266
Mn Ag P Ir Br
1 1 1 1 1
Cartesian
0.000 0.000 0.000
1.998 1.154 5.591
1.998 1.154 0.948
0.000 2.307 1.306
0.000 2.307 4.016
```

Main lines, sorted by position (10° ≤ 2θ ≤ 90°):
two_theta  I/Imax
12.2  34
24.5  29
25.7  52
28.6  100
35.8  76
45.4  71
45.7  65
52.2  22
66.4  21
84.1  22

Entry 2:
# Cs2Rb2IrO6
Simulated powder XRD pattern, Cu Kα (weighted mean of Kα1 and Kα2). Input: a cell relaxed with PBE.
Peak positions follow from Bragg's law for the DFT cell and can differ from measured ones.

Structural model:
```
Cs2Rb2IrO6
1.0
3.451 -5.600 0.000
3.451 5.600 0.000
-1.983 0.000 6.553
Cs Rb Ir O
2 2 1 6
Cartesian
3.451 3.698 0.000
3.451 -3.698 0.000
2.459 1.753 3.277
2.459 -1.753 3.277
-0.992 0.000 3.277
-0.174 1.349 4.348
0.536 0.000 2.104
-0.174 -1.349 4.348
5.093 1.349 2.206
4.382 0.000 4.450
5.093 -1.349 2.206
```

Main lines, sorted by position (10° ≤ 2θ ≤ 90°):
two_theta  I/Imax
13.5  14
15.6  59
20.9  34
27.0  38
27.2  37
28.9  61
32.4  100
46.4  21
46.7  21
53.6  18

Entry 3:
# Ce2Co
Simulated powder XRD pattern, Cu Kα (weighted mean of Kα1 and Kα2). Input: a cell relaxed with PBE.
Peak positions follow from Bragg's law for the DFT cell and can differ from measured ones.

Structural model:
```
Ce2Co
1.0
7.522 0.000 0.000
0.000 4.546 0.000
0.000 0.000 7.607
Ce Co
8 4
Cartesian
0.381 1.137 1.336
0.942 1.137 4.377
2.819 3.410 0.573
3.380 3.410 5.140
4.142 1.137 2.467
4.703 1.137 7.033
6.581 3.410 3.230
7.141 3.410 6.270
1.478 1.137 6.748
2.284 3.410 2.944
5.239 1.137 4.662
6.045 3.410 0.859
```

Main lines, sorted by position (10° ≤ 2θ ≤ 90°):
two_theta  I/Imax
30.9  100
32.9  68
33.1  43
37.4  21
39.6  43
40.7  31
43.0  20
43.2  24
59.9  15
60.1  18

Entry 4:
# Li3Zn9Ga2
Simulated powder XRD pattern, Cu Kα (weighted mean of Kα1 and Kα2). Input: a cell relaxed with PBE.
Peak positions follow from Bragg's law for the DFT cell and can differ from measured ones.

Structural model:
```
Li3Zn9Ga2
1.0
-2.109 4.457 6.348
2.109 -4.457 6.348
2.109 4.457 -6.348
Li Zn Ga
3 9 2
Cartesian
0.000 0.000 0.000
0.000 0.000 3.792
0.000 0.000 8.904
2.109 -1.239 2.236
2.109 -1.966 4.688
2.109 1.239 2.236
0.000 2.491 1.660
0.000 4.457 0.000
2.109 1.966 4.688
0.000 3.218 4.112
0.000 6.422 1.660
0.000 5.695 4.112
2.109 2.605 0.000
0.000 1.851 6.348
```

Main lines, sorted by position (10° ≤ 2θ ≤ 90°):
two_theta  I/Imax
19.9  76
23.3  100
36.2  73
39.7  47
41.5  37
42.7  25
42.9  53
46.4  37
47.1  44
51.1  33

Entry 5:
# LiSm2Ni3As4
Simulated powder XRD pattern, Cu Kα (weighted mean of Kα1 and Kα2). Input: a cell relaxed with PBE.
Peak positions follow from Bragg's law for the DFT cell and can differ from measured ones.

Structural model:
```
LiSm2Ni3As4
1.0
4.204 0.000 0.000
0.000 4.204 0.000
0.000 0.000 9.610
Li Sm Ni As
1 2 3 4
Cartesian
0.000 0.000 0.000
0.000 2.102 7.181
2.102 0.000 2.429
0.000 2.102 3.685
2.102 0.000 5.925
2.102 2.102 0.000
0.000 0.000 4.805
0.000 2.102 1.306
2.102 0.000 8.304
2.102 2.102 4.805
```

Main lines, sorted by position (10° ≤ 2θ ≤ 90°):
two_theta  I/Imax
30.1  36
35.2  88
35.5  100
43.0  67
52.3  31
56.8  44
62.5  22
66.3  14
70.0  25
74.0  23

Entry 6:
# LaRh4Se8
Simulated powder XRD pattern, Cu Kα (weighted mean of Kα1 and Kα2). Input: a cell relaxed with PBE.
Peak positions follow from Bragg's law for the DFT cell and can differ from measured ones.

Structural model:
```
LaRh4Se8
1.0
3.809 2.199 6.174
-3.809 2.199 6.174
0.000 -4.399 6.174
La Rh Se
1 4 8
Cartesian
0.000 0.000 0.000
-3.809 0.000 9.260
-1.905 1.100 3.087
1.905 1.100 3.087
0.000 0.000 9.260
0.000 0.000 4.353
-1.862 -1.075 10.492
0.000 -2.150 8.029
-1.862 1.075 8.029
1.862 -1.075 10.492
0.000 2.150 10.492
1.862 1.075 8.029
0.000 0.000 14.167
```

Main lines, sorted by position (10° ≤ 2θ ≤ 90°):
two_theta  I/Imax
14.3  56
27.5  11
33.3  100
43.9  18
47.8  39
48.0  27
50.1  12
59.5  18
61.9  9
79.6  16

Entry 7:
# SrNd8Dy4
Simulated powder XRD pattern, Cu Kα (weighted mean of Kα1 and Kα2). Input: a cell relaxed with PBE.
Peak positions follow from Bragg's law for the DFT cell and can differ from measured ones.

Structural model:
```
SrNd8Dy4
1.0
5.810 -2.589 0.000
5.810 2.589 0.000
-1.098 0.000 15.131
Sr Nd Dy
1 8 4
Cartesian
0.000 0.000 0.000
0.025 0.000 11.536
2.387 0.000 4.716
3.477 0.000 1.265
4.662 0.000 9.269
5.861 0.000 5.862
7.045 0.000 13.867
8.135 0.000 10.416
10.498 0.000 3.596
1.177 0.000 8.123
3.447 0.000 12.665
7.075 0.000 2.466
9.345 0.000 7.008
```

Main lines, sorted by position (10° ≤ 2θ ≤ 90°):
two_theta  I/Imax
29.8  100
34.4  16
34.6  34
49.6  23
49.7  12
58.8  13
59.0  14
59.1  14
61.9  12
80.6  8

Entry 8:
# K2MgGa4Ge3
Simulated powder XRD pattern, Cu Kα (weighted mean of Kα1 and Kα2). Input: a cell relaxed with PBE.
Peak positions follow from Bragg's law for the DFT cell and can differ from measured ones.

Structural model:
```
K2MgGa4Ge3
1.0
4.618 0.000 0.000
0.000 4.618 0.000
0.000 0.000 10.984
K Mg Ga Ge
2 1 4 3
Cartesian
0.000 2.309 2.650
2.309 0.000 8.334
0.000 0.000 5.492
0.000 0.000 0.000
0.000 2.309 7.022
2.309 0.000 3.962
2.309 2.309 0.000
0.000 2.309 9.606
2.309 0.000 1.378
2.309 2.309 5.492
```

Main lines, sorted by position (10° ≤ 2θ ≤ 90°):
two_theta  I/Imax
20.9  47
31.2  58
31.9  100
39.0  88
43.0  72
45.7  30
50.8  28
56.3  29
61.6  24
73.4  29